Cu2MoIr: computed X-ray powder pattern (Cu Kα X-rays), based on a GGA-PBE-relaxed structure.
Neutral-atom scattering factors, no anomalous dispersion.

Structural model:
a = 2.988 Å, b = 4.303 Å, c = 8.377 Å
α = 90.00°, β = 90.00°, γ = 90.00°
Space group Imm2 (No. 44)
Symmetry-distinct sites (fractional):
Cu 0.000 0.000 0.000 (multiplicity 2)
Cu 0.000 0.500 0.277 (multiplicity 2)
Mo 0.000 0.000 0.520 (multiplicity 2)
Ir 0.000 0.500 0.753 (multiplicity 2)

Largest 8 diffraction maxima, low angle first, 2θ from 10° to 90°:
h k l  2θ/deg  intensity
0 1 1  23.24  16
1 0 1  31.79  12
0 2 0  41.99  27
1 1 2  42.70  100
0 0 4  43.20  23
0 2 4  61.82  15
1 3 2  77.21  17
1 1 6  78.87  14